1.
Calculated powder X-ray diffraction pattern
Compound: Sm4ThTl3
Radiation: Cu Kα
Structure: the GGA-PBE geometry in Alexandria
Intensities are scaled so that the largest is 100.

Top 12 peaks for 5° ≤ 2θ ≤ 70°, by intensity:
- d 2.713, intensity 100, (1 1 2)
- d 2.869, intensity 29, (0 0 4)
- d 2.798, intensity 27, (0 2 0)
- d 1.625, intensity 21, (1 1 6)
- d 1.598, intensity 21, (1 3 2)
- d 2.003, intensity 21, (0 2 4)
- d 1.356, intensity 12, (2 2 4)
- d 1.551, intensity 9, (2 0 4)
- d 1.539, intensity 9, (2 2 0)
- d 1.843, intensity 8, (2 0 0)
- d 1.435, intensity 3, (0 0 8)
- d 1.399, intensity 3, (0 4 0)

Crystal structure
a = 3.686 Å, b = 5.595 Å, c = 11.477 Å
α = 90.00°, β = 90.00°, γ = 90.00°
Space group Pmmm (No. 47)
Symmetry-distinct sites (fractional):
Sm: 0.000 0.000 0.000 [1 per cell]
Sm: 0.000 0.000 0.500 [1 per cell]
Sm: 0.000 0.500 0.242 [2 per cell]
Th: 0.500 0.500 0.500 [1 per cell]
Tl: 0.500 0.000 0.257 [2 per cell]
Tl: 0.500 0.500 0.000 [1 per cell]

=====

2.
Calculated powder X-ray diffraction pattern
Compound: Sm8Tm3Th2
Radiation: Cu Kα
Structure: the GGA-PBE geometry in Alexandria
Intensities are scaled so that the largest is 100.

Top 12 peaks for 5° ≤ 2θ ≤ 70°, by intensity:
- d 2.832, intensity 100, (1 4 -2)
- d 2.820, intensity 99, (2 3 0)
- d 2.948, intensity 24, (0 6 0)
- d 2.554, intensity 19, (0 5 2)
- d 3.099, intensity 18, (2 2 -1)
- d 3.405, intensity 13, (1 2 -2)
- d 1.926, intensity 13, (1 0 -4)
- d 1.896, intensity 12, (1 7 2)
- d 2.528, intensity 11, (1 1 -3)
- d 1.593, intensity 11, (1 3 4)
- d 2.720, intensity 11, (2 2 -2)
- d 1.410, intensity 10, (4 6 0)

Crystal structure
a = 6.698 Å, b = 17.687 Å, c = 7.704 Å
α = 90.00°, β = 106.50°, γ = 90.00°
Space group P2_1/c (No. 14)
Symmetry-distinct sites (fractional):
Sm: 0.084 0.070 0.154 [4 per cell]
Sm: 0.139 0.083 0.636 [4 per cell]
Sm: 0.358 0.237 0.972 [4 per cell]
Sm: 0.360 0.613 0.165 [4 per cell]
Tm: 0.101 0.745 0.393 [4 per cell]
Tm: 0.500 0.000 0.000 [2 per cell]
Th: 0.334 0.614 0.741 [4 per cell]